RbBi2Br7: simulated X-ray powder pattern (copper Kα), based on the GGA-PBE geometry in the Materials Project.
Kinematic intensities with the Lorentz-polarization factor, no thermal factor.

Main lines, low angle first (2θ from 10° to 90°):
| two_theta | intensity | h k l |
| --- | --- | --- |
| 14.1 | 85 | 1 0 1 |
| 14.3 | 91 | 1 1 1 |
| 17.3 | 72 | 1 1 -1 |
| 28.4 | 100 | 2 0 2 |
| 28.6 | 59 | 1 2 3 |
| 28.9 | 55 | 1 0 -3 |
| 37.0 | 95 | 3 0 -1 |
| 37.1 | 83 | 1 3 -2 |
| 43.4 | 53 | 2 -3 1 |
| 44.7 | 53 | 1 0 5 |

```
data_RbBi2Br7
_chemical_formula_sum 'Rb2 Bi4 Br14'
_symmetry_space_group_name_H-M 'P -1'
_symmetry_Int_Tables_number 2
_cell_length_a 7.820
_cell_length_b 9.849
_cell_length_c 10.704
_cell_angle_alpha 75.94
_cell_angle_beta 83.94
_cell_angle_gamma 76.55
loop_
_symmetry_equiv_pos_as_xyz
'x,y,z'
'-x,-y,-z'
loop_
_atom_site_label
_atom_site_fract_x
_atom_site_fract_y
_atom_site_fract_z
Rb1 0.112 0.140 0.193
Bi1 0.192 0.295 0.566
Bi2 0.371 0.643 0.124
Br1 0.005 0.773 0.168
Br2 0.118 0.623 0.567
Br3 0.223 0.022 0.554
Br4 0.266 0.485 0.952
Br5 0.374 0.869 0.925
Br6 0.384 0.349 0.333
Br7 0.466 0.793 0.292
```

***

KTbS2O9: simulated X-ray powder pattern (copper Kα), based on the GGA-PBE geometry in the Materials Project.
Kinematic intensities with the Lorentz-polarization factor, no thermal factor.

Main lines, low angle first (2θ from 10° to 90°):
| two_theta | intensity | h k l |
| --- | --- | --- |
| 14.1 | 100 | 0 1 1 |
| 14.3 | 70 | 1 1 0 |
| 20.5 | 22 | 2 0 -2 |
| 23.0 | 13 | 0 2 1 |
| 26.7 | 63 | 1 2 1 |
| 27.3 | 39 | 1 1 2 |
| 28.8 | 18 | 2 1 -3 |
| 29.1 | 46 | 3 1 -2 |
| 34.1 | 14 | 3 2 -1 |
| 41.2 | 14 | 3 2 1 |

```
data_KTbS2O9
_chemical_formula_sum 'K4 Tb4 S8 O36'
_symmetry_space_group_name_H-M 'P 1 21/c 1'
_symmetry_Int_Tables_number 14
_cell_length_a 10.117
_cell_length_b 8.523
_cell_length_c 10.321
_cell_angle_alpha 90.00
_cell_angle_beta 116.33
_cell_angle_gamma 90.00
loop_
_symmetry_equiv_pos_as_xyz
'x,y,z'
'-x,-y,-z'
'-x,y+1/2,-z+1/2'
'x,-y+1/2,z+1/2'
loop_
_atom_site_label
_atom_site_fract_x
_atom_site_fract_y
_atom_site_fract_z
K1 0.224 0.178 0.190
Tb1 0.249 0.630 0.027
S1 0.057 0.631 0.187
S2 0.485 0.696 0.884
O1 0.061 0.749 0.582
O2 0.093 0.061 0.367
O3 0.093 0.703 0.329
O4 0.167 0.509 0.195
O5 0.344 0.616 0.565
O6 0.359 0.592 0.866
O7 0.387 0.104 0.606
O8 0.439 0.698 0.256
O9 0.469 0.211 0.981
```

***

Te4Mo3WSe4: simulated X-ray powder pattern (copper Kα), based on the GGA-PBE geometry in the Materials Project.
Kinematic intensities with the Lorentz-polarization factor, no thermal factor.

Main lines, low angle first (2θ from 10° to 90°):
| two_theta | intensity | h k l |
| --- | --- | --- |
| 11.3 | 98 | 0 0 5 |
| 30.0 | 53 | 1 0 0 |
| 35.3 | 100 | 1 0 8 |
| 42.7 | 64 | 1 0 13 |
| 44.5 | 19 | 1 0 14 |
| 53.3 | 40 | 1 1 0 |
| 65.5 | 16 | 2 0 8 |
| 70.6 | 14 | 0 2 13 |
| 75.2 | 20 | 1 1 21 |
| 89.3 | 15 | 2 1 8 |

```
data_Te4Mo3WSe4
_chemical_formula_sum 'Te4 Mo3 W1 Se4'
_symmetry_space_group_name_H-M 'P 3 m 1'
_symmetry_Int_Tables_number 156
_cell_length_a 3.4397
_cell_length_b 3.4397
_cell_length_c 39.0890
_cell_angle_alpha 90.00
_cell_angle_beta 90.00
_cell_angle_gamma 120.00
loop_
_symmetry_equiv_pos_as_xyz
'x,y,z'
'-y,x-y,z'
'-x+y,-x,z'
'-y,-x,z'
'-x+y,y,z'
'x,x-y,z'
loop_
_atom_site_label
_atom_site_fract_x
_atom_site_fract_y
_atom_site_fract_z
Te1 0.0000 0.0000 0.0000
Te2 0.0000 0.0000 0.0954
Te3 0.3333 0.6667 0.8124
Te4 0.3333 0.6667 0.9072
Mo1 0.0000 0.0000 0.4841
Mo2 0.0000 0.0000 0.8598
Mo3 0.3333 0.6667 0.6720
W1 0.3333 0.6667 0.0478
Se1 0.0000 0.0000 0.6301
Se2 0.0000 0.0000 0.7138
Se3 0.3333 0.6667 0.4423
Se4 0.3333 0.6667 0.5259
```

***

Ba2SrI6: simulated X-ray powder pattern (copper Kα), based on the GGA-PBE geometry in the Materials Project.
Kinematic intensities with the Lorentz-polarization factor, no thermal factor.

Main lines, low angle first (2θ from 10° to 90°):
| two_theta | intensity | h k l |
| --- | --- | --- |
| 24.5 | 42 | 2 2 -2 |
| 25.1 | 55 | 2 1 1 |
| 25.3 | 64 | 2 2 -3 |
| 25.9 | 87 | 1 1 3 |
| 26.2 | 87 | 3 1 -3 |
| 26.7 | 79 | 1 2 -4 |
| 28.6 | 49 | 1 3 -1 |
| 28.9 | 68 | 2 0 -6 |
| 29.1 | 100 | 1 3 0 |
| 31.0 | 62 | 3 1 0 |

```
data_Ba2SrI6
_chemical_formula_sum 'Ba8 Sr4 I24'
_symmetry_space_group_name_H-M 'P 1 21/c 1'
_symmetry_Int_Tables_number 14
_cell_length_a 10.876
_cell_length_b 9.775
_cell_length_c 18.555
_cell_angle_alpha 90.00
_cell_angle_beta 123.75
_cell_angle_gamma 90.00
loop_
_symmetry_equiv_pos_as_xyz
'x,y,z'
'-x,-y,-z'
'-x,y+1/2,-z+1/2'
'x,-y+1/2,z+1/2'
loop_
_atom_site_label
_atom_site_fract_x
_atom_site_fract_y
_atom_site_fract_z
Ba1 0.142 0.101 0.287
Ba2 0.203 0.711 0.091
Sr1 0.429 0.150 0.073
I1 0.076 0.112 0.636
I2 0.084 0.056 0.926
I3 0.219 0.737 0.293
I4 0.324 0.044 0.511
I5 0.399 0.040 0.227
I6 0.472 0.171 0.911
```

***

BaInGa: simulated X-ray powder pattern (copper Kα), based on the GGA-PBE geometry in the Materials Project.
Kinematic intensities with the Lorentz-polarization factor, no thermal factor.

Main lines, low angle first (2θ from 10° to 90°):
| two_theta | intensity | h k l |
| --- | --- | --- |
| 29.4 | 87 | 1 1 -2 |
| 29.5 | 100 | 3 1 -1 |
| 29.9 | 26 | 0 0 2 |
| 33.5 | 22 | 2 0 1 |
| 33.7 | 24 | 4 0 -1 |
| 35.0 | 50 | 0 2 0 |
| 36.6 | 58 | 3 1 -3 |
| 49.4 | 16 | 4 2 -1 |
| 57.5 | 18 | 1 1 -4 |
| 59.4 | 22 | 3 3 -1 |

```
data_BaInGa
_chemical_formula_sum 'Ba4 In4 Ga4'
_symmetry_space_group_name_H-M 'C 1 2/m 1'
_symmetry_Int_Tables_number 12
_cell_length_a 11.834
_cell_length_b 5.130
_cell_length_c 8.378
_cell_angle_alpha 90.00
_cell_angle_beta 134.55
_cell_angle_gamma 90.00
loop_
_symmetry_equiv_pos_as_xyz
'x,y,z'
'-x,-y,-z'
'-x,y,-z'
'x,-y,z'
'x+1/2,y+1/2,z'
'-x+1/2,-y+1/2,-z'
'-x+1/2,y+1/2,-z'
'x+1/2,-y+1/2,z'
loop_
_atom_site_label
_atom_site_fract_x
_atom_site_fract_y
_atom_site_fract_z
Ba1 0.249 0.000 0.301
In1 0.075 0.000 0.742
Ga1 0.067 0.500 0.914
```

***

Rb3Mo: simulated X-ray powder pattern (copper Kα), based on the GGA-PBE geometry in the Materials Project.
Kinematic intensities with the Lorentz-polarization factor, no thermal factor.

Main lines, low angle first (2θ from 10° to 90°):
| two_theta | intensity | h k l |
| --- | --- | --- |
| 25.8 | 100 | 2 2 0 |
| 36.8 | 19 | 4 0 0 |
| 45.4 | 42 | 4 2 2 |
| 53.0 | 13 | 4 4 0 |
| 59.8 | 18 | 6 2 0 |
| 66.2 | 4 | 4 4 4 |
| 72.3 | 21 | 6 4 2 |
| 78.2 | 2 | 8 0 0 |
| 84.0 | 11 | 8 2 2 |
| 89.7 | 6 | 8 4 0 |

```
data_Rb3Mo
_chemical_formula_sum 'Rb12 Mo4'
_symmetry_space_group_name_H-M 'F m -3 m'
_symmetry_Int_Tables_number 225
_symmetry_space_group_name_Hall '-F 4 2 3'
_cell_length_a 9.778
_cell_length_b 9.778
_cell_length_c 9.778
_cell_angle_alpha 90.00
_cell_angle_beta 90.00
_cell_angle_gamma 90.00
loop_
_atom_site_label
_atom_site_fract_x
_atom_site_fract_y
_atom_site_fract_z
Rb1 0.000 0.000 0.000
Rb2 0.250 0.250 0.250
Mo1 0.000 0.000 0.500
```

***

Na2O: simulated X-ray powder pattern (copper Kα), based on the GGA-PBE geometry in the Materials Project.
Kinematic intensities with the Lorentz-polarization factor, no thermal factor.

Main lines, low angle first (2θ from 10° to 90°):
| two_theta | intensity | h k l |
| --- | --- | --- |
| 38.1 | 100 | 1 1 1 |
| 41.8 | 77 | 2 0 1 |
| 44.7 | 41 | 2 1 0 |
| 49.9 | 26 | 0 0 2 |
| 51.1 | 23 | 3 0 0 |
| 51.6 | 15 | 2 1 1 |
| 68.1 | 11 | 3 1 1 |
| 69.3 | 19 | 2 1 2 |
| 74.3 | 11 | 3 0 2 |
| 82.8 | 17 | 3 2 1 |

```
data_Na2O
_chemical_formula_sum 'Na6 O3'
_symmetry_space_group_name_H-M 'P -6 2 m'
_symmetry_Int_Tables_number 189
_symmetry_space_group_name_Hall 'P -6 -2'
_cell_length_a 6.1882
_cell_length_b 6.1882
_cell_length_c 3.6535
_cell_angle_alpha 90.00
_cell_angle_beta 90.00
_cell_angle_gamma 120.00
loop_
_atom_site_label
_atom_site_fract_x
_atom_site_fract_y
_atom_site_fract_z
Na1 0.0000 0.4123 0.0000
Na2 0.0000 0.7389 0.5000
O1 0.0000 0.0000 0.0000
O2 0.3333 0.6667 0.5000
```